No. 1
This entry pairs a crystal structure of TmTc with its theoretical PXRD pattern. Radiation: Cu Kα. Structure: a structure optimized by DFT (GGA-PBE).
Lines closer than 0.1° are merged.

Structure:
Lattice parameters (Å, degrees): 4.587 3.908 5.619 90.00 113.86 90.00
Space group P2_1/m (No. 11)
Symmetry-distinct sites (fractional):
Tm  0.141  0.250  0.284 x2
Tc  0.438  0.250  0.874 x2

Most intense lines, 10 to 90 degrees two-theta, in order of falling intensity:
2.858 Å, I = 100; 2.293 Å, I = 34; 2.750 Å, I = 28; 2.740 Å, I = 27; 2.249 Å, I = 25; 2.243 Å, I = 25



No. 2
This entry pairs a crystal structure of Ho2CuHRh6 with its theoretical PXRD pattern. Radiation: Cu Kα. Structure: a structure optimized by DFT (GGA-PBE).
Lines closer than 0.1° are merged.

Structure:
Lattice parameters (Å, degrees): 6.061 6.077 8.580 90.00 90.00 90.00
Space group Immm (No. 71)
Symmetry-distinct sites (fractional):
Ho  0.000  0.000  0.250 x4
Cu  0.000  0.500  0.000 x2
H  0.000  0.500  0.500 x2
Rh  0.000  0.500  0.276 x4
Rh  0.225  0.276  0.500 x8

Most intense lines, 10 to 90 degrees two-theta, in order of falling intensity:
2.477 Å, I = 100; 2.145 Å, I = 65; 1.517 Å, I = 33; 1.293 Å, I = 16; 1.294 Å, I = 16; 3.034 Å, I = 15



No. 3
This entry pairs a crystal structure of Ce4AlIn5 with its theoretical PXRD pattern. Radiation: Cu Kα. Structure: a structure optimized by DFT (GGA-PBE).
Lines closer than 0.1° are merged.

Structure:
Lattice parameters (Å, degrees): 5.758 6.698 7.367 75.27 76.65 71.03
Space group P-1 (No. 2)
Symmetry-distinct sites (fractional):
Ce  0.088  0.426  0.323 x2
Ce  0.272  0.226  0.873 x2
Al  0.500  0.500  0.500 x1
In  0.119  0.914  0.300 x2
In  0.312  0.701  0.890 x2
In  0.500  0.000  0.500 x1

Most intense lines, 10 to 90 degrees two-theta, in order of falling intensity:
2.746 Å, I = 100; 2.657 Å, I = 91; 2.395 Å, I = 35; 2.336 Å, I = 31; 2.288 Å, I = 28; 1.672 Å, I = 23



No. 4
This entry pairs a crystal structure of CrNi5Rh with its theoretical PXRD pattern. Radiation: Cu Kα. Structure: a structure optimized by DFT (GGA-PBE).
Lines closer than 0.1° are merged.

Structure:
Lattice parameters (Å, degrees): 4.964 7.148 4.981 90.00 90.00 90.00
Space group Cmmm (No. 65)
Symmetry-distinct sites (fractional):
Cr  0.000  0.000  0.000 x2
Ni  0.000  0.500  0.000 x2
Ni  0.250  0.250  0.251 x8
Rh  0.000  0.500  0.500 x2

Most intense lines, 10 to 90 degrees two-theta, in order of falling intensity:
2.044 Å, I = 100; 2.039 Å, I = 99; 1.758 Å, I = 61; 4.077 Å, I = 39; 1.253 Å, I = 36; 1.787 Å, I = 32